[1]
Structure and calculated X-ray powder pattern of Ce2Zn2FeGe4 (a DFT-relaxed cell (GGA-PBE, Alexandria); Cu Ka).
No peak broadening, texture or thermal motion is included.

Peak list (8 most intense, 2θ from 10° to 90°, sorted by position)
d = 3.090 Å, intensity 20; d = 2.528 Å, intensity 100; d = 2.199 Å, intensity 47; d = 2.171 Å, intensity 21; d = 1.555 Å, intensity 14; d = 1.545 Å, intensity 26; d = 1.324 Å, intensity 22; d = 1.264 Å, intensity 12

Cell and atoms:
```
Ce2Zn2FeGe4
1.0
-3.109 3.109 4.343
3.109 -3.109 4.343
3.109 3.109 -4.343
Ce Zn Fe Ge
2 2 1 4
Direct
0.250 0.750 0.500
0.750 0.250 0.500
0.214 0.214 0.000
0.786 0.786 0.000
0.500 0.500 0.000
0.226 0.226 0.452
0.226 0.774 0.000
0.774 0.226 0.000
0.774 0.774 0.548
```

---

[2]
Structure and calculated X-ray powder pattern of CeFe5H11 (a DFT-relaxed cell (GGA-PBE, Alexandria); Cu Ka).
No peak broadening, texture or thermal motion is included.

Peak list (8 most intense, 2θ from 10° to 90°, sorted by position)
d = 5.152 Å, intensity 71; d = 2.773 Å, intensity 75; d = 2.677 Å, intensity 64; d = 2.576 Å, intensity 100; d = 2.308 Å, intensity 67; d = 2.250 Å, intensity 65; d = 2.126 Å, intensity 43; d = 2.001 Å, intensity 36

Cell and atoms:
```
CeFe5H11
1.0
4.018 -3.866 0.000
4.018 3.866 0.000
-2.364 0.000 3.980
Ce Fe H
1 5 11
Direct
0.000 0.000 0.000
0.022 0.378 0.696
0.378 0.022 0.696
0.500 0.500 0.000
0.622 0.978 0.304
0.978 0.622 0.304
0.000 0.000 0.500
0.164 0.639 0.692
0.174 0.440 0.110
0.273 0.273 0.577
0.361 0.836 0.308
0.440 0.174 0.110
0.560 0.826 0.890
0.639 0.164 0.692
0.727 0.727 0.423
0.826 0.560 0.890
0.836 0.361 0.308
```